[1]
Simulated powder diffractogram of Y6ScCd5 for Cu Kα, from a GGA-PBE-relaxed structure.
Intensities are scaled so that the largest is 100.

Structural model:
```
data_Y6ScCd5
_chemical_formula_sum 'Y12 Sc2 Cd10'
_symmetry_space_group_name_H-M 'I m m m'
_symmetry_Int_Tables_number 71
_symmetry_space_group_name_Hall '-I 2 2'
_cell_length_a 5.259
_cell_length_b 7.654
_cell_length_c 15.963
_cell_angle_alpha 90.00
_cell_angle_beta 90.00
_cell_angle_gamma 90.00
loop_
_atom_site_label
_atom_site_fract_x
_atom_site_fract_y
_atom_site_fract_z
_atom_site_occupancy
Y1 0.000 0.240 0.000 1
Y2 0.000 0.252 0.331 1
Sc1 0.000 0.000 0.500 1
Cd1 0.000 0.000 0.167 1
Cd2 0.000 0.500 0.154 1
Cd3 0.000 0.500 0.500 1
```

The 10 most intense peaks (2θ from 5° to 70°), most intense first:
| Position (°2θ) | I (rel.) |
| --- | --- |
| 33.5 | 100 |
| 34.1 | 24 |
| 33.7 | 24 |
| 60.7 | 17 |
| 48.7 | 16 |
| 60.1 | 16 |
| 47.5 | 9 |
| 59.8 | 9 |
| 59.5 | 9 |
| 12.8 | 2 |

[2]
Simulated powder diffractogram of Dy4InPbN for Cu Kα, from a GGA-PBE-relaxed structure.
Intensities are scaled so that the largest is 100.

Structural model:
```
data_Dy4InPbN
_chemical_formula_sum 'Dy16 In4 Pb4 N4'
_symmetry_space_group_name_H-M 'C m c m'
_symmetry_Int_Tables_number 63
_symmetry_space_group_name_Hall '-C 2c 2'
_cell_length_a 6.687
_cell_length_b 16.126
_cell_length_c 6.687
_cell_angle_alpha 90.00
_cell_angle_beta 90.00
_cell_angle_gamma 90.00
loop_
_atom_site_label
_atom_site_fract_x
_atom_site_fract_y
_atom_site_fract_z
_atom_site_occupancy
Dy1 0.000 0.089 0.250 1
Dy2 0.000 0.408 0.250 1
Dy3 0.250 0.250 0.000 1
In1 0.000 0.111 0.750 1
Pb1 0.000 0.394 0.750 1
N1 0.000 0.251 0.250 1
```

The 10 most intense peaks (2θ from 5° to 70°), most intense first:
| Position (°2θ) | I (rel.) |
| --- | --- |
| 34.9 | 100 |
| 28.9 | 65 |
| 38.1 | 58 |
| 51.5 | 36 |
| 66.7 | 33 |
| 33.3 | 30 |
| 54.9 | 20 |
| 64.1 | 19 |
| 26.7 | 17 |
| 65.8 | 17 |

[3]
Simulated powder diffractogram of Pr2TeH3 for Cu Kα, from a GGA-PBE-relaxed structure.
Intensities are scaled so that the largest is 100.

Structural model:
```
data_Pr2TeH3
_chemical_formula_sum 'Pr2 Te1 H3'
_symmetry_space_group_name_H-M 'P -3 m 1'
_symmetry_Int_Tables_number 164
_symmetry_space_group_name_Hall '-P 3 2"'
_cell_length_a 4.1023
_cell_length_b 4.1023
_cell_length_c 7.1991
_cell_angle_alpha 90.00
_cell_angle_beta 90.00
_cell_angle_gamma 120.00
loop_
_atom_site_label
_atom_site_fract_x
_atom_site_fract_y
_atom_site_fract_z
_atom_site_occupancy
Pr1 0.3333 0.6667 0.2936 1
Te1 0.0000 0.0000 0.0000 1
H1 0.0000 0.0000 0.5000 1
H2 0.3333 0.6667 0.6272 1
```

The 10 most intense peaks (2θ from 5° to 70°), most intense first:
| Position (°2θ) | I (rel.) |
| --- | --- |
| 28.0 | 100 |
| 35.5 | 50 |
| 44.2 | 30 |
| 53.1 | 17 |
| 59.3 | 16 |
| 57.9 | 12 |
| 37.5 | 10 |
| 45.6 | 9 |
| 57.4 | 8 |
| 69.5 | 6 |

[4]
Simulated powder diffractogram of HgPb for Cu Kα, from a GGA-PBE-relaxed structure.
Intensities are scaled so that the largest is 100.

Structural model:
```
data_HgPb
_chemical_formula_sum 'Hg3 Pb3'
_symmetry_space_group_name_H-M 'R -3 m'
_symmetry_Int_Tables_number 166
_symmetry_space_group_name_Hall '-R 3 2"'
_cell_length_a 3.5696
_cell_length_b 3.5696
_cell_length_c 15.5171
_cell_angle_alpha 90.00
_cell_angle_beta 90.00
_cell_angle_gamma 120.00
loop_
_atom_site_label
_atom_site_fract_x
_atom_site_fract_y
_atom_site_fract_z
_atom_site_occupancy
Hg1 0.0000 0.0000 0.0000 1
Pb1 0.0000 0.0000 0.5000 1
```

The 9 most intense peaks (2θ from 5° to 70°), most intense first:
| Position (°2θ) | I (rel.) |
| --- | --- |
| 31.1 | 100 |
| 37.2 | 63 |
| 63.3 | 27 |
| 51.2 | 26 |
| 34.7 | 25 |
| 56.0 | 20 |
| 61.1 | 15 |
| 64.9 | 13 |
| 67.5 | 11 |

[5]
Simulated powder diffractogram of U2Si4Ir3Pd for Cu Kα, from a GGA-PBE-relaxed structure.
Intensities are scaled so that the largest is 100.

Structural model:
```
data_U2Si4Ir3Pd
_chemical_formula_sum 'U2 Si4 Ir3 Pd1'
_symmetry_space_group_name_H-M 'P -4 m 2'
_symmetry_Int_Tables_number 115
_cell_length_a 4.111
_cell_length_b 4.111
_cell_length_c 9.981
_cell_angle_alpha 90.00
_cell_angle_beta 90.00
_cell_angle_gamma 90.00
loop_
_symmetry_equiv_pos_as_xyz
'x,y,z'
'y,-x,-z'
'-x,-y,z'
'-y,x,-z'
'-x,y,z'
'-y,-x,-z'
'x,-y,z'
'y,x,-z'
loop_
_atom_site_label
_atom_site_fract_x
_atom_site_fract_y
_atom_site_fract_z
_atom_site_occupancy
U1 0.000 0.500 0.242 1
Si1 0.000 0.000 0.000 1
Si2 0.000 0.500 0.636 1
Si3 0.500 0.500 0.000 1
Ir1 0.000 0.500 0.873 1
Ir2 0.500 0.500 0.500 1
Pd1 0.000 0.000 0.500 1
```

The 10 most intense peaks (2θ from 5° to 70°), most intense first:
| Position (°2θ) | I (rel.) |
| --- | --- |
| 35.7 | 100 |
| 34.7 | 87 |
| 44.1 | 64 |
| 32.1 | 46 |
| 57.3 | 42 |
| 50.8 | 34 |
| 30.8 | 31 |
| 69.5 | 27 |
| 28.1 | 22 |
| 26.8 | 22 |

[6]
Simulated powder diffractogram of TiMnTlCl6 for Cu Kα, from a GGA-PBE-relaxed structure.
Intensities are scaled so that the largest is 100.

Structural model:
```
data_TiMnTlCl6
_chemical_formula_sum 'Ti2 Mn2 Tl2 Cl12'
_symmetry_space_group_name_H-M 'P -3 1 c'
_symmetry_Int_Tables_number 163
_symmetry_space_group_name_Hall '-P 3 2c'
_cell_length_a 6.5317
_cell_length_b 6.5317
_cell_length_c 14.1504
_cell_angle_alpha 90.00
_cell_angle_beta 90.00
_cell_angle_gamma 120.00
loop_
_atom_site_label
_atom_site_fract_x
_atom_site_fract_y
_atom_site_fract_z
_atom_site_occupancy
Ti1 0.3333 0.6667 0.2500 1
Mn1 0.3333 0.6667 0.7500 1
Tl1 0.0000 0.0000 0.0000 1
Cl1 0.0108 0.3810 0.1506 1
```

The 10 most intense peaks (2θ from 5° to 70°), most intense first:
| Position (°2θ) | I (rel.) |
| --- | --- |
| 20.1 | 100 |
| 37.5 | 47 |
| 44.3 | 25 |
| 30.1 | 24 |
| 34.1 | 20 |
| 29.8 | 16 |
| 48.3 | 15 |
| 15.7 | 15 |
| 27.3 | 14 |
| 50.4 | 12 |

[7]
Simulated powder diffractogram of Sm6HoIn5 for Cu Kα, from a GGA-PBE-relaxed structure.
Intensities are scaled so that the largest is 100.

Structural model:
```
data_Sm6HoIn5
_chemical_formula_sum 'Sm12 Ho2 In10'
_symmetry_space_group_name_H-M 'I m m m'
_symmetry_Int_Tables_number 71
_symmetry_space_group_name_Hall '-I 2 2'
_cell_length_a 5.030
_cell_length_b 9.001
_cell_length_c 15.199
_cell_angle_alpha 90.00
_cell_angle_beta 90.00
_cell_angle_gamma 90.00
loop_
_atom_site_label
_atom_site_fract_x
_atom_site_fract_y
_atom_site_fract_z
_atom_site_occupancy
Sm1 0.000 0.233 0.000 1
Sm2 0.000 0.261 0.329 1
Ho1 0.000 0.000 0.500 1
In1 0.000 0.000 0.174 1
In2 0.000 0.500 0.152 1
In3 0.000 0.500 0.500 1
```

The 10 most intense peaks (2θ from 5° to 70°), most intense first:
| Position (°2θ) | I (rel.) |
| --- | --- |
| 32.0 | 100 |
| 35.7 | 19 |
| 35.4 | 18 |
| 61.8 | 15 |
| 61.5 | 14 |
| 40.1 | 13 |
| 51.2 | 13 |
| 66.9 | 11 |
| 54.7 | 10 |
| 54.5 | 10 |

[8]
Simulated powder diffractogram of Rb2SnSbI6 for Cu Kα, from a GGA-PBE-relaxed structure.
Intensities are scaled so that the largest is 100.

Structural model:
```
data_Rb2SnSbI6
_chemical_formula_sum 'Rb4 Sn2 Sb2 I12'
_symmetry_space_group_name_H-M 'I 4/m m m'
_symmetry_Int_Tables_number 139
_symmetry_space_group_name_Hall '-I 4 2'
_cell_length_a 8.777
_cell_length_b 8.777
_cell_length_c 12.432
_cell_angle_alpha 90.00
_cell_angle_beta 90.00
_cell_angle_gamma 90.00
loop_
_atom_site_label
_atom_site_fract_x
_atom_site_fract_y
_atom_site_fract_z
_atom_site_occupancy
Rb1 0.000 0.500 0.250 1
Sn1 0.000 0.000 0.000 1
Sb1 0.000 0.000 0.500 1
I1 0.000 0.000 0.252 1
I2 0.249 0.249 0.500 1
```

The 10 most intense peaks (2θ from 5° to 70°), most intense first:
| Position (°2θ) | I (rel.) |
| --- | --- |
| 28.8 | 100 |
| 41.1 | 75 |
| 24.8 | 67 |
| 14.3 | 40 |
| 67.5 | 34 |
| 48.6 | 31 |
| 50.9 | 27 |
| 32.2 | 22 |
| 65.5 | 12 |
| 43.7 | 12 |